# 1
EuTlPS4: theoretical PXRD pattern (Cu Kα X-rays), based on a cell relaxed with GGA-PBE.

Structure:
```
data_EuTlPS4
_chemical_formula_sum 'Eu4 Tl4 P4 S16'
_symmetry_space_group_name_H-M 'P n m a'
_symmetry_Int_Tables_number 62
_cell_length_a 12.1517
_cell_length_b 6.6396
_cell_length_c 9.0063
_cell_angle_alpha 90.00
_cell_angle_beta 90.00
_cell_angle_gamma 90.00
loop_
_symmetry_equiv_pos_as_xyz
'x,y,z'
'-x,-y,-z'
'-x+1/2,-y,z+1/2'
'x+1/2,y,-z+1/2'
'x+1/2,-y+1/2,-z+1/2'
'-x+1/2,y+1/2,z+1/2'
'-x,y+1/2,-z'
'x,-y+1/2,z'
loop_
_atom_site_label
_atom_site_type_symbol
_atom_site_fract_x
_atom_site_fract_y
_atom_site_fract_z
Eu1 Eu 0.1434 0.2500 0.1048
Tl1 Tl 0.1037 0.2500 0.6314
P1 P 0.1536 0.7500 0.8773
S1 S 0.0510 0.7500 0.6962
S2 S 0.0669 0.7500 0.0734
S3 S 0.2441 0.0017 0.3665
```

Top 8 peaks for 10 to 80 degrees two-theta, sorted by position:
2theta, d/Å, I_rel, hkl
19.8, 4.482, 100, 2 1 0
21.0, 4.223, 31, 1 0 2
25.0, 3.563, 84, 1 1 2
26.9, 3.320, 53, 0 2 0
29.7, 3.012, 68, 3 0 2
32.7, 2.743, 58, 3 1 2
34.4, 2.610, 66, 1 2 2
40.2, 2.241, 37, 4 2 0

---

# 2
Cd2As3I: theoretical PXRD pattern (Cu Kα X-rays), based on a cell relaxed with GGA-PBE.

Structure:
```
data_Cd2As3I
_chemical_formula_sum 'Cd8 As12 I4'
_symmetry_space_group_name_H-M 'C 1 2/c 1'
_symmetry_Int_Tables_number 15
_cell_length_a 8.6045
_cell_length_b 9.7836
_cell_length_c 8.1646
_cell_angle_alpha 90.00
_cell_angle_beta 100.65
_cell_angle_gamma 90.00
loop_
_symmetry_equiv_pos_as_xyz
'x,y,z'
'-x,-y,-z'
'-x,y,-z+1/2'
'x,-y,z+1/2'
'x+1/2,y+1/2,z'
'-x+1/2,-y+1/2,-z'
'-x+1/2,y+1/2,-z+1/2'
'x+1/2,-y+1/2,z+1/2'
loop_
_atom_site_label
_atom_site_type_symbol
_atom_site_fract_x
_atom_site_fract_y
_atom_site_fract_z
Cd1 Cd 0.2434 0.1450 0.2857
As1 As 0.0000 0.2091 0.7500
As2 As 0.1242 0.0477 0.9736
I1 I 0.0000 0.3728 0.2500
```

Top 8 peaks for 10 to 80 degrees two-theta, sorted by position:
2theta, d/Å, I_rel, hkl
22.2, 4.012, 31, 0 0 2
27.9, 3.203, 33, 1 1 2
28.6, 3.126, 100, 2 2 -1
28.8, 3.102, 27, 0 2 2
31.5, 2.838, 32, 2 2 1
45.3, 2.004, 36, 0 0 4
47.2, 1.924, 21, 2 2 3
52.5, 1.742, 20, 4 0 2

---

# 3
Li6SbS2: theoretical PXRD pattern (Cu Kα X-rays), based on a cell relaxed with GGA-PBE.

Structure:
```
data_Li6SbS2
_chemical_formula_sum 'Li24 Sb4 S8'
_symmetry_space_group_name_H-M 'C 1 2/c 1'
_symmetry_Int_Tables_number 15
_cell_length_a 21.0624
_cell_length_b 5.0448
_cell_length_c 6.5247
_cell_angle_alpha 90.00
_cell_angle_beta 91.31
_cell_angle_gamma 90.00
loop_
_symmetry_equiv_pos_as_xyz
'x,y,z'
'-x,-y,-z'
'-x,y,-z+1/2'
'x,-y,z+1/2'
'x+1/2,y+1/2,z'
'-x+1/2,-y+1/2,-z'
'-x+1/2,y+1/2,-z+1/2'
'x+1/2,-y+1/2,z+1/2'
loop_
_atom_site_label
_atom_site_type_symbol
_atom_site_fract_x
_atom_site_fract_y
_atom_site_fract_z
Li1 Li 0.0645 0.0965 0.1263
Li2 Li 0.1236 0.4707 0.4231
Li3 Li 0.2235 0.0721 0.8679
Sb1 Sb 0.0000 0.4081 0.7500
S1 S 0.1727 0.2385 0.1587
```

Top 8 peaks for 10 to 80 degrees two-theta, sorted by position:
2theta, d/Å, I_rel, hkl
16.8, 5.264, 53, 4 0 0
18.1, 4.906, 100, 1 1 0
21.7, 4.096, 71, 3 1 0
25.4, 3.509, 72, 6 0 0
25.5, 3.490, 64, 3 1 -1
25.8, 3.449, 71, 3 1 1
27.3, 3.262, 41, 0 0 2
28.8, 3.096, 39, 2 0 2

---

# 4
PaAs2: theoretical PXRD pattern (Cu Kα X-rays), based on a cell relaxed with GGA-PBE.

Structure:
```
data_PaAs2
_chemical_formula_sum 'Pa2 As4'
_symmetry_space_group_name_H-M 'P 4/n m m'
_symmetry_Int_Tables_number 129
_cell_length_a 4.0184
_cell_length_b 4.0184
_cell_length_c 8.1720
_cell_angle_alpha 90.00
_cell_angle_beta 90.00
_cell_angle_gamma 90.00
loop_
_symmetry_equiv_pos_as_xyz
'x,y,z'
'-x,-y,-z'
'-y+1/2,x,z'
'y+1/2,-x,-z'
'-x+1/2,-y+1/2,z'
'x+1/2,y+1/2,-z'
'y,-x+1/2,z'
'-y,x+1/2,-z'
'x+1/2,-y,-z'
'-x+1/2,y,z'
'-y,-x,-z'
'y,x,z'
'-x,y+1/2,-z'
'x,-y+1/2,z'
'y+1/2,x+1/2,-z'
'-y+1/2,-x+1/2,z'
loop_
_atom_site_label
_atom_site_type_symbol
_atom_site_fract_x
_atom_site_fract_y
_atom_site_fract_z
Pa1 Pa 0.2500 0.2500 0.2193
As1 As 0.2500 0.2500 0.8589
As2 As 0.2500 0.7500 0.5000
```

Top 8 peaks for 10 to 80 degrees two-theta, sorted by position:
2theta, d/Å, I_rel, hkl
24.7, 3.606, 89, 1 0 1
31.5, 2.841, 48, 1 1 0
32.9, 2.724, 31, 0 0 3
33.4, 2.684, 47, 1 1 1
38.6, 2.333, 100, 1 1 2
40.0, 2.255, 50, 1 0 3
45.1, 2.009, 51, 2 0 0
61.9, 1.500, 29, 2 1 3